[1]
For TmLu4Th, a crystal structure in Alexandria, relaxed with GGA-PBE gives the simulated powder diffraction line list in this record (CuKα).
Peak positions follow from Bragg's law for the DFT cell and can differ from measured ones.

Structural model:
abc: 9.1024 9.1024 9.1024
angles: 90.00 90.00 90.00
Space group F-43m (No. 216)
One atom of each set of equivalent atoms:
1 Tm 0.0000 0.0000 0.0000 [4 per cell]
2 Lu 0.1249 0.1249 0.3751 [16 per cell]
3 Th 0.2500 0.2500 0.7500 [4 per cell]

Principal peaks in the range 2θ from 10° to 90°, by angle:
3.218 Å, I 30
2.744 Å, I 100
2.628 Å, I 37
1.858 Å, I 13
1.752 Å, I 36
1.609 Å, I 31
1.372 Å, I 15
1.185 Å, I 23

[2]
For LuTiZn, a crystal structure in Alexandria, relaxed with GGA-PBE gives the simulated powder diffraction line list in this record (CuKα).
Peak positions follow from Bragg's law for the DFT cell and can differ from measured ones.

Structural model:
abc: 4.6264 4.6264 3.3163
angles: 90.00 90.00 120.00
Space group P3m1 (No. 156)
One atom of each set of equivalent atoms:
1 Lu 0.0000 0.0000 0.0000 [1 per cell]
2 Ti 0.6667 0.3333 0.4995 [1 per cell]
3 Zn 0.3333 0.6667 0.5014 [1 per cell]

Principal peaks in the range 2θ from 10° to 90°, by angle:
4.007 Å, I 38
2.555 Å, I 100
2.313 Å, I 59
1.715 Å, I 30
1.658 Å, I 7
1.378 Å, I 29
1.348 Å, I 20
1.336 Å, I 10

[3]
For Tm2LuZr, a crystal structure in Alexandria, relaxed with GGA-PBE gives the simulated powder diffraction line list in this record (CuKα).
Peak positions follow from Bragg's law for the DFT cell and can differ from measured ones.

Structural model:
abc: 4.7948 4.7948 4.7889
angles: 90.00 90.00 90.00
Space group P4/mmm (No. 123)
One atom of each set of equivalent atoms:
1 Tm 0.0000 0.5000 0.0000 [2 per cell]
2 Lu 0.0000 0.0000 0.5000 [1 per cell]
3 Zr 0.5000 0.5000 0.5000 [1 per cell]

Principal peaks in the range 2θ from 10° to 90°, by angle:
4.793 Å, I 4
3.389 Å, I 4
2.767 Å, I 100
2.396 Å, I 50
1.695 Å, I 35
1.445 Å, I 41
1.384 Å, I 12
1.100 Å, I 18